Structure and computed XRD peak list of PaFeCoH6 (a PBE-relaxed structure; Cu Kα X-rays).
Kinematic intensities with the Lorentz-polarization factor, no thermal factor.

Largest 8 diffraction maxima, in order of rising 2θ, 10 to 90 degrees two-theta:
| h k l | d/Å | Position (°2θ) | Rel. int. |
| --- | --- | --- | --- |
| 1 0 0 | 3.750 | 23.73 | 33 |
| 1 0 1 | 2.764 | 32.39 | 100 |
| 1 1 0 | 2.165 | 41.72 | 36 |
| 0 0 2 | 2.045 | 44.29 | 10 |
| 1 0 2 | 1.796 | 50.85 | 10 |
| 2 0 1 | 1.705 | 53.78 | 24 |
| 1 1 2 | 1.487 | 62.47 | 22 |
| 2 1 1 | 1.339 | 70.29 | 22 |

a = 4.3302 Å, b = 4.3302 Å, c = 4.0905 Å
α = 90.00°, β = 90.00°, γ = 120.00°
Space group P-6m2 (No. 187)
Unique sites:
Pa  0.0000  0.0000  0.0000 (multiplicity 1)
Fe  0.6667  0.3333  0.5000 (multiplicity 1)
Co  0.3333  0.6667  0.5000 (multiplicity 1)
H  0.5007  0.0014  0.2354 (multiplicity 6)

Structure and computed XRD peak list of Fe2CoHPd (a PBE-relaxed structure; Cu Kα X-rays).
Kinematic intensities with the Lorentz-polarization factor, no thermal factor.

Largest 8 diffraction maxima, in order of rising 2θ, 10 to 90 degrees two-theta:
| h k l | d/Å | Position (°2θ) | Rel. int. |
| --- | --- | --- | --- |
| 1 1 0 | 2.654 | 33.77 | 8 |
| 1 1 1 | 2.168 | 41.66 | 100 |
| 0 0 2 | 1.884 | 48.30 | 16 |
| 2 0 0 | 1.874 | 48.59 | 32 |
| 2 0 2 | 1.329 | 70.93 | 19 |
| 2 2 0 | 1.325 | 71.16 | 9 |
| 1 1 3 | 1.135 | 85.55 | 11 |
| 3 1 1 | 1.131 | 85.98 | 22 |

a = 3.7477 Å, b = 3.7477 Å, c = 3.7686 Å
α = 90.00°, β = 90.00°, γ = 90.00°
Space group P4/mmm (No. 123)
Unique sites:
Fe  0.0000  0.5000  0.0000 (multiplicity 2)
Co  0.0000  0.0000  0.5000 (multiplicity 1)
H  0.5000  0.5000  0.0000 (multiplicity 1)
Pd  0.5000  0.5000  0.5000 (multiplicity 1)

Structure and computed XRD peak list of YFeCo2H8 (a PBE-relaxed structure; Cu Kα X-rays).
Kinematic intensities with the Lorentz-polarization factor, no thermal factor.

Largest 8 diffraction maxima, in order of rising 2θ, 10 to 90 degrees two-theta:
| h k l | d/Å | Position (°2θ) | Rel. int. |
| --- | --- | --- | --- |
| 1 0 1 | 3.691 | 24.11 | 26 |
| 1 0 4 | 2.711 | 33.04 | 93 |
| 0 0 6 | 2.578 | 34.79 | 23 |
| 0 1 5 | 2.400 | 37.48 | 40 |
| 1 1 0 | 2.194 | 41.14 | 100 |
| 0 2 4 | 1.706 | 53.74 | 22 |
| 1 1 6 | 1.671 | 54.94 | 36 |
| 1 0 10 | 1.433 | 65.10 | 24 |

a = 4.3888 Å, b = 4.3888 Å, c = 15.4703 Å
α = 90.00°, β = 90.00°, γ = 120.00°
Space group R-3 (No. 148, hexagonal axes)
Unique sites:
Y  0.0000  0.0000  0.0000 (multiplicity 3)
Fe  0.0000  0.0000  0.5000 (multiplicity 3)
Co  0.0000  0.0000  0.2018 (multiplicity 6)
H  0.0000  0.0000  0.3055 (multiplicity 6)
H  0.0217  0.3032  0.1181 (multiplicity 18)

Please write out number 3 again, unchanged.
Structure and computed XRD peak list of YFeCo2H8 (a PBE-relaxed structure; Cu Kα X-rays).
Kinematic intensities with the Lorentz-polarization factor, no thermal factor.

Largest 8 diffraction maxima, in order of rising 2θ, 10 to 90 degrees two-theta:
| h k l | d/Å | Position (°2θ) | Rel. int. |
| --- | --- | --- | --- |
| 1 0 1 | 3.691 | 24.11 | 26 |
| 1 0 4 | 2.711 | 33.04 | 93 |
| 0 0 6 | 2.578 | 34.79 | 23 |
| 0 1 5 | 2.400 | 37.48 | 40 |
| 1 1 0 | 2.194 | 41.14 | 100 |
| 0 2 4 | 1.706 | 53.74 | 22 |
| 1 1 6 | 1.671 | 54.94 | 36 |
| 1 0 10 | 1.433 | 65.10 | 24 |

a = 4.3888 Å, b = 4.3888 Å, c = 15.4703 Å
α = 90.00°, β = 90.00°, γ = 120.00°
Space group R-3 (No. 148, hexagonal axes)
Unique sites:
Y  0.0000  0.0000  0.0000 (multiplicity 3)
Fe  0.0000  0.0000  0.5000 (multiplicity 3)
Co  0.0000  0.0000  0.2018 (multiplicity 6)
H  0.0000  0.0000  0.3055 (multiplicity 6)
H  0.0217  0.3032  0.1181 (multiplicity 18)

Please write out number 3 again, unchanged.
Structure and computed XRD peak list of YFeCo2H8 (a PBE-relaxed structure; Cu Kα X-rays).
Kinematic intensities with the Lorentz-polarization factor, no thermal factor.

Largest 8 diffraction maxima, in order of rising 2θ, 10 to 90 degrees two-theta:
| h k l | d/Å | Position (°2θ) | Rel. int. |
| --- | --- | --- | --- |
| 1 0 1 | 3.691 | 24.11 | 26 |
| 1 0 4 | 2.711 | 33.04 | 93 |
| 0 0 6 | 2.578 | 34.79 | 23 |
| 0 1 5 | 2.400 | 37.48 | 40 |
| 1 1 0 | 2.194 | 41.14 | 100 |
| 0 2 4 | 1.706 | 53.74 | 22 |
| 1 1 6 | 1.671 | 54.94 | 36 |
| 1 0 10 | 1.433 | 65.10 | 24 |

a = 4.3888 Å, b = 4.3888 Å, c = 15.4703 Å
α = 90.00°, β = 90.00°, γ = 120.00°
Space group R-3 (No. 148, hexagonal axes)
Unique sites:
Y  0.0000  0.0000  0.0000 (multiplicity 3)
Fe  0.0000  0.0000  0.5000 (multiplicity 3)
Co  0.0000  0.0000  0.2018 (multiplicity 6)
H  0.0000  0.0000  0.3055 (multiplicity 6)
H  0.0217  0.3032  0.1181 (multiplicity 18)